No. 1
For Hg2IrPt, a structure optimized by DFT (GGA-PBE) gives the computed powder X-ray diffraction pattern in this record (Cu Kα X-rays).
Lines closer than 0.1° are merged.

The 10 most intense peaks (2θ from 10° to 90°), by intensity:
- 40.1°, d 2.251, intensity 100
- 35.6°, d 2.525, intensity 35
- 37.0°, d 2.427, intensity 31
- 52.3°, d 1.750, intensity 23
- 68.8°, d 1.365, intensity 21
- 66.8°, d 1.400, intensity 11
- 67.0°, d 1.397, intensity 11
- 75.7°, d 1.257, intensity 8
- 63.3°, d 1.469, intensity 7
- 86.4°, d 1.126, intensity 6

Atomic structure:
Lattice parameters (Å, degrees): 5.848 9.709 2.919 90.00 119.60 90.00
Atoms (fractional coordinates):
Hg: 0.250 0.250 0.000
Hg: 0.250 0.750 0.000
Hg: 0.750 0.250 0.000
Hg: 0.750 0.750 0.000
Ir: 0.000 0.000 0.500
Ir: 0.500 0.500 0.500
Pt: 0.000 0.500 0.500
Pt: 0.500 0.000 0.500

***

No. 2
For La4BiAsI2, a structure optimized by DFT (GGA-PBE) gives the computed powder X-ray diffraction pattern in this record (Cu Kα X-rays).
Lines closer than 0.1° are merged.

The 10 most intense peaks (2θ from 10° to 90°), by intensity:
- 27.5°, d 3.248, intensity 100
- 27.3°, d 3.264, intensity 49
- 39.2°, d 2.299, intensity 36
- 39.1°, d 2.306, intensity 35
- 49.0°, d 1.860, intensity 20
- 39.8°, d 2.264, intensity 20
- 38.6°, d 2.330, intensity 17
- 63.9°, d 1.456, intensity 13
- 56.7°, d 1.624, intensity 11
- 64.9°, d 1.436, intensity 10

Atomic structure:
Lattice parameters (Å, degrees): 8.005 4.528 8.036 90.00 108.95 90.00
Atoms (fractional coordinates):
La: 0.213 0.000 0.209
La: 0.231 0.500 0.778
La: 0.769 0.500 0.222
La: 0.787 0.000 0.791
Bi: 0.500 0.000 0.000
As: 0.000 0.500 0.000
I: 0.000 0.000 0.500
I: 0.500 0.500 0.500

***

No. 3
For TbErTe3, a structure optimized by DFT (GGA-PBE) gives the computed powder X-ray diffraction pattern in this record (Cu Kα X-rays).
Lines closer than 0.1° are merged.

The 10 most intense peaks (2θ from 10° to 90°), by intensity:
- 29.6°, d 3.018, intensity 100
- 33.0°, d 2.712, intensity 97
- 41.9°, d 2.154, intensity 95
- 33.5°, d 2.678, intensity 89
- 28.4°, d 3.145, intensity 75
- 28.0°, d 3.187, intensity 66
- 20.8°, d 4.268, intensity 63
- 42.8°, d 2.113, intensity 45
- 61.4°, d 1.509, intensity 40
- 40.4°, d 2.234, intensity 35

Atomic structure:
Lattice parameters (Å, degrees): 7.374 7.374 10.713 90.00 90.00 146.70
Atoms (fractional coordinates):
Tb: 0.247 0.753 0.750
Tb: 0.753 0.247 0.250
Er: 0.000 0.000 0.000
Er: 0.000 0.000 0.500
Te: 0.095 0.905 0.250
Te: 0.352 0.648 0.066
Te: 0.352 0.648 0.434
Te: 0.648 0.352 0.566
Te: 0.648 0.352 0.934
Te: 0.905 0.095 0.750